No. 1
Structure and calculated powder diffractogram of Mg2H4Ir (a structure optimized by DFT (PBE); CuKα).
Neutral-atom scattering factors, no anomalous dispersion.

Most intense lines, 2θ = 10–90°, sorted by position:
Position (°2θ), d/Å, I_rel, (hkl)
19.22, 4.617, 100.0, 1 1 0
26.44, 3.371, 17.3, 0 2 0
27.63, 3.228, 35.1, 1 1 -1
28.06, 3.181, 40.0, 2 0 -1
38.97, 2.311, 55.7, 2 2 0
39.87, 2.261, 40.0, 1 1 1
42.69, 2.118, 13.2, 1 3 0
47.41, 1.918, 15.6, 1 3 -1
53.66, 1.708, 13.5, 1 1 -2
62.37, 1.489, 13.7, 2 4 0

Cell and atoms:
Cell lengths 7.322, 6.742, 3.677 Å; angles 90.00, 120.06, 90.00 degrees
Space group C2 (No. 5)
Asymmetric unit:
Mg (0.247, 0.000, 0.249)
H (0.000, 0.425, 0.000)
H (0.000, 0.740, 0.500)
H (0.232, 0.185, 0.733)
Ir (0.000, 0.679, 0.000)



No. 2
Structure and calculated powder diffractogram of Nd4SbIr (a structure optimized by DFT (PBE); CuKα).
Neutral-atom scattering factors, no anomalous dispersion.

Most intense lines, 2θ = 10–90°, sorted by position:
Position (°2θ), d/Å, I_rel, (hkl)
19.03, 4.664, 42.7, 1 1 -1
27.56, 3.237, 83.3, 0 2 -2
29.44, 3.034, 54.9, -1 2 1
31.58, 2.833, 46.5, 1 1 -3
32.22, 2.778, 31.5, 1 0 -3
33.87, 2.647, 97.2, 2 1 -2
36.81, 2.442, 31.0, 1 1 2
37.07, 2.425, 100.0, 1 3 -1
41.56, 2.173, 44.3, 1 -1 3
57.02, 1.615, 27.9, 0 4 -4

Cell and atoms:
Cell lengths 5.803, 8.053, 8.702 Å; angles 104.46, 109.47, 90.00 degrees
Space group P-1 (No. 2)
Asymmetric unit:
Nd (0.040, 0.143, 0.367)
Nd (0.268, 0.556, 0.848)
Nd (0.327, 0.643, 0.367)
Nd (0.420, 0.944, 0.152)
Sb (0.143, 0.250, 0.000)
Ir (0.000, 0.500, 0.500)
Ir (0.500, 0.000, 0.500)



- Which formula does entry 1 have?
  Mg2H4Ir



Please write out number 1 again, unchanged.
Structure and calculated powder diffractogram of Mg2H4Ir (a structure optimized by DFT (PBE); CuKα).
Neutral-atom scattering factors, no anomalous dispersion.

Most intense lines, 2θ = 10–90°, sorted by position:
Position (°2θ), d/Å, I_rel, (hkl)
19.22, 4.617, 100.0, 1 1 0
26.44, 3.371, 17.3, 0 2 0
27.63, 3.228, 35.1, 1 1 -1
28.06, 3.181, 40.0, 2 0 -1
38.97, 2.311, 55.7, 2 2 0
39.87, 2.261, 40.0, 1 1 1
42.69, 2.118, 13.2, 1 3 0
47.41, 1.918, 15.6, 1 3 -1
53.66, 1.708, 13.5, 1 1 -2
62.37, 1.489, 13.7, 2 4 0

Cell and atoms:
Cell lengths 7.322, 6.742, 3.677 Å; angles 90.00, 120.06, 90.00 degrees
Space group C2 (No. 5)
Asymmetric unit:
Mg (0.247, 0.000, 0.249)
H (0.000, 0.425, 0.000)
H (0.000, 0.740, 0.500)
H (0.232, 0.185, 0.733)
Ir (0.000, 0.679, 0.000)